(1)
Starting from a DFT-relaxed cell (GGA-PBE, Alexandria), the powder diffractogram of Rb2ScZn2Te4 was computed for Cu Kα X-rays.
Intensities are scaled so that the largest is 100.

Most intense lines, 5° ≤ 2θ ≤ 70°, sorted by position:
2θ (°)	Rel. int.
10.94	47
24.25	47
26.15	68
26.26	60
28.50	36
28.89	100
30.62	64
34.58	27
38.03	50
40.21	44
44.50	30
47.30	40

Crystal structure
```
data_Rb2ScZn2Te4
_cell_length_a 16.447
_cell_length_b 4.486
_cell_length_c 8.545
_cell_angle_alpha 90.00
_cell_angle_beta 108.87
_cell_angle_gamma 90.00
_space_group_name_H-M_alt 'C 1 2/m 1'
_space_group_IT_number 12
_space_group_name_Hall '-C 2y'
loop_
_atom_site_label
_atom_site_type_symbol
_atom_site_fract_x
_atom_site_fract_y
_atom_site_fract_z
Rb1 Rb 0.130 0.000 0.063
Sc1 Sc 0.000 0.000 0.500
Zn1 Zn 0.174 0.500 0.480
Te1 Te 0.013 0.500 0.272
Te2 Te 0.196 0.000 0.671
```

***

(2)
Starting from a DFT-relaxed cell (GGA-PBE, Alexandria), the powder diffractogram of Rb4ZrSc3Te8 was computed for Cu Kα X-rays.
Intensities are scaled so that the largest is 100.

Most intense lines, 5° ≤ 2θ ≤ 70°, sorted by position:
2θ (°)	Rel. int.
10.36	9
24.85	9
27.67	100
29.62	19
31.44	11
34.32	11
37.00	28
41.93	37
50.97	18
52.53	10
53.33	15
68.06	15

Crystal structure
```
data_Rb4ZrSc3Te8
_cell_length_a 8.6192
_cell_length_b 8.6192
_cell_length_c 25.6095
_cell_angle_alpha 90.00
_cell_angle_beta 90.00
_cell_angle_gamma 120.00
_space_group_name_H-M_alt 'R -3 m'
_space_group_IT_number 166
_space_group_name_Hall '-R 3 2"'
loop_
_atom_site_label
_atom_site_type_symbol
_atom_site_fract_x
_atom_site_fract_y
_atom_site_fract_z
Rb1 Rb 0.0000 0.0000 0.0000
Rb2 Rb 0.0000 0.5000 0.0000
Zr1 Zr 0.0000 0.0000 0.5000
Sc1 Sc 0.0000 0.5000 0.5000
Te1 Te 0.0000 0.0000 0.2300
Te2 Te 0.0006 0.5003 0.2306
```

***

(3)
Starting from a DFT-relaxed cell (GGA-PBE, Alexandria), the powder diffractogram of Rb2ZrSc2Te6 was computed for Cu Kα X-rays.
Intensities are scaled so that the largest is 100.

Most intense lines, 5° ≤ 2θ ≤ 70°, sorted by position:
2θ (°)	Rel. int.
10.05	29
25.38	16
27.99	100
29.81	15
30.48	12
34.24	19
36.76	27
43.03	36
45.26	14
51.54	10
52.12	17
53.62	10

Crystal structure
```
data_Rb2ZrSc2Te6
_cell_length_a 7.283
_cell_length_b 12.611
_cell_length_c 9.132
_cell_angle_alpha 90.00
_cell_angle_beta 105.56
_cell_angle_gamma 90.00
_space_group_name_H-M_alt 'C 1 2/m 1'
_space_group_IT_number 12
_space_group_name_Hall '-C 2y'
loop_
_atom_site_label
_atom_site_type_symbol
_atom_site_fract_x
_atom_site_fract_y
_atom_site_fract_z
Rb1 Rb 0.000 0.166 0.000
Zr1 Zr 0.000 0.000 0.500
Sc1 Sc 0.000 0.332 0.500
Te1 Te 0.229 0.500 0.689
Te2 Te 0.232 0.165 0.691
```

***

(4)
Starting from a DFT-relaxed cell (GGA-PBE, Alexandria), the powder diffractogram of Rb3ScW was computed for Cu Kα X-rays.
Intensities are scaled so that the largest is 100.

Most intense lines, 5° ≤ 2θ ≤ 70°, sorted by position:
2θ (°)	Rel. int.
12.66	100
17.93	37
25.47	100
28.53	62
31.32	19
36.33	78
38.61	35
44.89	28
46.83	16
54.05	21
59.06	37
65.36	27

Crystal structure
```
data_Rb3ScW
_cell_length_a 6.995
_cell_length_b 6.995
_cell_length_c 6.995
_cell_angle_alpha 90.00
_cell_angle_beta 90.00
_cell_angle_gamma 90.00
_space_group_name_H-M_alt 'P m -3 m'
_space_group_IT_number 221
_space_group_name_Hall '-P 4 2 3'
loop_
_atom_site_label
_atom_site_type_symbol
_atom_site_fract_x
_atom_site_fract_y
_atom_site_fract_z
Rb1 Rb 0.000 0.000 0.500
Sc1 Sc 0.500 0.500 0.500
W1 W 0.000 0.000 0.000
```

***

(5)
Starting from a DFT-relaxed cell (GGA-PBE, Alexandria), the powder diffractogram of Rb3Se was computed for Cu Kα X-rays.
Intensities are scaled so that the largest is 100.

Most intense lines, 5° ≤ 2θ ≤ 70°, sorted by position:
2θ (°)	Rel. int.
12.47	97
20.77	43
23.42	86
25.69	98
28.28	27
29.02	100
35.35	28
35.61	64
36.82	32
38.05	64
45.18	29
58.53	31

Crystal structure
```
data_Rb3Se
_cell_length_a 4.728
_cell_length_b 12.717
_cell_length_c 8.552
_cell_angle_alpha 90.00
_cell_angle_beta 90.00
_cell_angle_gamma 90.00
_space_group_name_H-M_alt 'I m m 2'
_space_group_IT_number 44
_space_group_name_Hall 'I 2 -2'
loop_
_atom_site_label
_atom_site_type_symbol
_atom_site_fract_x
_atom_site_fract_y
_atom_site_fract_z
Rb1 Rb 0.000 0.000 0.000
Rb2 Rb 0.000 0.158 0.434
Se1 Se 0.000 0.500 0.776
```

***

(6)
Starting from a DFT-relaxed cell (GGA-PBE, Alexandria), the powder diffractogram of RbSe2 was computed for Cu Kα X-rays.
Intensities are scaled so that the largest is 100.

Most intense lines, 5° ≤ 2θ ≤ 70°, sorted by position:
2θ (°)	Rel. int.
18.61	25
25.97	100
26.89	52
27.59	49
30.95	74
37.73	41
38.25	40
40.86	60
49.03	22
54.20	25
56.34	22
58.85	20

Crystal structure
```
data_RbSe2
_cell_length_a 7.063
_cell_length_b 6.861
_cell_length_c 4.666
_cell_angle_alpha 90.00
_cell_angle_beta 110.14
_cell_angle_gamma 90.00
_space_group_name_H-M_alt 'C 1 2/m 1'
_space_group_IT_number 12
_space_group_name_Hall '-C 2y'
loop_
_atom_site_label
_atom_site_type_symbol
_atom_site_fract_x
_atom_site_fract_y
_atom_site_fract_z
Rb1 Rb 0.000 0.000 0.000
Se1 Se 0.072 0.500 0.287
```

***

(7)
Starting from a DFT-relaxed cell (GGA-PBE, Alexandria), the powder diffractogram of Rb2Se3 was computed for Cu Kα X-rays.
Intensities are scaled so that the largest is 100.

Most intense lines, 5° ≤ 2θ ≤ 70°, sorted by position:
2θ (°)	Rel. int.
26.07	70
28.67	71
29.90	100
31.79	49
33.85	41
37.08	30
41.90	21
43.66	22
46.21	24
50.89	25
52.60	36
54.36	17

Crystal structure
```
data_Rb2Se3
_cell_length_a 7.858
_cell_length_b 11.214
_cell_length_c 8.067
_cell_angle_alpha 90.00
_cell_angle_beta 90.00
_cell_angle_gamma 90.00
_space_group_name_H-M_alt 'C m c 21'
_space_group_IT_number 36
_space_group_name_Hall 'C 2c -2'
loop_
_atom_site_label
_atom_site_type_symbol
_atom_site_fract_x
_atom_site_fract_y
_atom_site_fract_z
Rb1 Rb 0.000 0.085 0.000
Rb2 Rb 0.000 0.402 0.779
Se1 Se 0.000 0.293 0.324
Se2 Se 0.243 0.339 0.152
```

***

(8)
Starting from a DFT-relaxed cell (GGA-PBE, Alexandria), the powder diffractogram of RbSe2 was computed for Cu Kα X-rays.
Intensities are scaled so that the largest is 100.

Most intense lines, 5° ≤ 2θ ≤ 70°, sorted by position:
2θ (°)	Rel. int.
26.95	100
29.03	32
29.36	31
33.31	56
38.71	25
40.53	18
47.58	20
48.01	20
53.23	11
53.63	12
54.35	16
54.55	16

Crystal structure
```
data_RbSe2
_cell_length_a 4.653
_cell_length_b 7.031
_cell_length_c 7.032
_cell_angle_alpha 89.40
_cell_angle_beta 71.21
_cell_angle_gamma 71.08
_space_group_name_H-M_alt 'P -1'
_space_group_IT_number 2
_space_group_name_Hall '-P 1'
loop_
_atom_site_label
_atom_site_type_symbol
_atom_site_fract_x
_atom_site_fract_y
_atom_site_fract_z
Rb1 Rb 0.250 0.236 0.264
Se1 Se 0.030 0.775 0.179
Se2 Se 0.470 0.321 0.725
```

***

(9)
Starting from a DFT-relaxed cell (GGA-PBE, Alexandria), the powder diffractogram of RbSi2Se4 was computed for Cu Kα X-rays.
Intensities are scaled so that the largest is 100.

Most intense lines, 5° ≤ 2θ ≤ 70°, sorted by position:
2θ (°)	Rel. int.
14.55	10
27.53	100
29.34	6
29.81	16
32.90	20
44.98	35
46.02	4
47.21	11
51.52	17
55.52	17
56.84	6
59.87	7

Crystal structure
```
data_RbSi2Se4
_cell_length_a 8.610
_cell_length_b 8.610
_cell_length_c 5.995
_cell_angle_alpha 90.00
_cell_angle_beta 90.00
_cell_angle_gamma 90.00
_space_group_name_H-M_alt 'I 4/m'
_space_group_IT_number 87
_space_group_name_Hall '-I 4'
loop_
_atom_site_label
_atom_site_type_symbol
_atom_site_fract_x
_atom_site_fract_y
_atom_site_fract_z
Rb1 Rb 0.000 0.000 0.000
Si1 Si 0.000 0.500 0.250
Se1 Se 0.126 0.327 0.500
```

***

(10)
Starting from a DFT-relaxed cell (GGA-PBE, Alexandria), the powder diffractogram of RbSiSe3 was computed for Cu Kα X-rays.
Intensities are scaled so that the largest is 100.

Most intense lines, 5° ≤ 2θ ≤ 70°, sorted by position:
2θ (°)	Rel. int.
13.80	28
26.71	41
27.81	77
28.37	25
29.16	75
30.26	100
31.90	24
32.61	29
36.03	27
49.16	31
56.89	20
57.15	22

Crystal structure
```
data_RbSiSe3
_cell_length_a 7.442
_cell_length_b 13.172
_cell_length_c 6.762
_cell_angle_alpha 90.00
_cell_angle_beta 99.17
_cell_angle_gamma 90.00
_space_group_name_H-M_alt 'P 1 21/c 1'
_space_group_IT_number 14
_space_group_name_Hall '-P 2ybc'
loop_
_atom_site_label
_atom_site_type_symbol
_atom_site_fract_x
_atom_site_fract_y
_atom_site_fract_z
Rb1 Rb 0.245 0.058 0.234
Si1 Si 0.294 0.718 0.352
Se1 Se 0.045 0.686 0.875
Se2 Se 0.232 0.560 0.234
Se3 Se 0.487 0.701 0.659
```

***

(11)
Starting from a DFT-relaxed cell (GGA-PBE, Alexandria), the powder diffractogram of Rb3SiSe4 was computed for Cu Kα X-rays.
Intensities are scaled so that the largest is 100.

Most intense lines, 5° ≤ 2θ ≤ 70°, sorted by position:
2θ (°)	Rel. int.
23.17	44
24.27	100
25.05	62
28.24	62
29.82	40
32.39	75
32.67	76
34.89	26
35.15	52
41.19	28
57.19	49
59.75	29

Crystal structure
```
data_Rb3SiSe4
_cell_length_a 6.083
_cell_length_b 13.792
_cell_length_c 7.111
_cell_angle_alpha 90.00
_cell_angle_beta 90.00
_cell_angle_gamma 90.00
_space_group_name_H-M_alt 'I m m 2'
_space_group_IT_number 44
_space_group_name_Hall 'I 2 -2'
loop_
_atom_site_label
_atom_site_type_symbol
_atom_site_fract_x
_atom_site_fract_y
_atom_site_fract_z
Rb1 Rb 0.000 0.000 0.000
Rb2 Rb 0.000 0.287 0.164
Si1 Si 0.000 0.500 0.805
Se1 Se 0.000 0.360 0.634
Se2 Se 0.234 0.000 0.534
```

***

(12)
Starting from a DFT-relaxed cell (GGA-PBE, Alexandria), the powder diffractogram of Rb2SrSi2Se6 was computed for Cu Kα X-rays.
Intensities are scaled so that the largest is 100.

Most intense lines, 5° ≤ 2θ ≤ 70°, sorted by position:
2θ (°)	Rel. int.
15.25	19
20.83	52
22.08	38
28.25	80
30.79	100
32.57	27
37.77	18
39.47	30
40.64	16
48.37	42
53.20	24
58.44	16

Crystal structure
```
data_Rb2SrSi2Se6
_cell_length_a 7.5273
_cell_length_b 7.5273
_cell_length_c 25.5863
_cell_angle_alpha 90.00
_cell_angle_beta 90.00
_cell_angle_gamma 120.00
_space_group_name_H-M_alt 'R -3 m'
_space_group_IT_number 166
_space_group_name_Hall '-R 3 2"'
loop_
_atom_site_label
_atom_site_type_symbol
_atom_site_fract_x
_atom_site_fract_y
_atom_site_fract_z
Rb1 Rb 0.0000 0.0000 0.2164
Sr1 Sr 0.0000 0.0000 0.0000
Si1 Si 0.0000 0.0000 0.4164
Se1 Se 0.0022 0.5011 0.7549
```